Entry 1:
Structure and calculated powder X-ray diffraction pattern of CuAg4Au3 (DFT lattice parameters and positions (GGA-PBE); Cu Kα, 1.54184 Å).

Principal peaks in the range 15 to 90 degrees two-theta, in order of rising 2θ:
- d = 2.632 Å, 34.06°, I = 100
- d = 2.398 Å, 37.50°, I = 42
- d = 2.345 Å, 38.38°, I = 39
- d = 2.228 Å, 40.49°, I = 64
- d = 2.215 Å, 40.73°, I = 44
- d = 2.109 Å, 42.88°, I = 53

Structure:
a = 12.051 Å, b = 12.051 Å, c = 2.915 Å
α = 96.24°, β = 96.24°, γ = 20.16°
Positions (direct):
Cu (0.000, 0.000, 0.000)
Ag (0.095, 0.095, 0.588)
Ag (0.218, 0.218, 0.716)
Ag (0.782, 0.782, 0.284)
Ag (0.905, 0.905, 0.412)
Au (0.343, 0.343, 0.849)
Au (0.500, 0.500, 0.500)
Au (0.657, 0.657, 0.151)

***

Entry 2:
Structure and calculated powder X-ray diffraction pattern of Y4Ga2Sb (DFT lattice parameters and positions (GGA-PBE); Cu Kα, 1.54184 Å).

Principal peaks in the range 15 to 90 degrees two-theta, in order of rising 2θ:
- d = 4.688 Å, 18.93°, I = 44
- d = 3.315 Å, 26.89°, I = 38
- d = 2.961 Å, 30.18°, I = 47
- d = 2.931 Å, 30.49°, I = 100
- d = 2.504 Å, 35.87°, I = 81
- d = 2.344 Å, 38.40°, I = 38

Structure:
a = 9.377 Å, b = 8.092 Å, c = 8.081 Å
α = 70.87°, β = 54.62°, γ = 54.51°
Positions (direct):
Y (0.125, 0.306, 0.307)
Y (0.238, 0.693, 0.694)
Y (0.306, 0.125, 0.762)
Y (0.307, 0.762, 0.125)
Y (0.693, 0.238, 0.875)
Y (0.694, 0.875, 0.238)
Y (0.762, 0.307, 0.306)
Y (0.875, 0.694, 0.693)
Ga (0.000, 0.000, 0.000)
Ga (0.000, 0.000, 0.500)
Ga (0.000, 0.500, 0.000)
Ga (0.500, 0.000, 0.000)
Sb (0.375, 0.375, 0.375)
Sb (0.625, 0.625, 0.625)

***

Entry 3:
Structure and calculated powder X-ray diffraction pattern of LaPm4PrHo2 (DFT lattice parameters and positions (GGA-PBE); Cu Kα, 1.54184 Å).

Principal peaks in the range 15 to 90 degrees two-theta, in order of rising 2θ:
- d = 2.985 Å, 29.94°, I = 51
- d = 2.973 Å, 30.06°, I = 100
- d = 2.961 Å, 30.19°, I = 49
- d = 2.580 Å, 34.78°, I = 68
- d = 1.824 Å, 50.00°, I = 49
- d = 1.552 Å, 59.55°, I = 36

Structure:
a = 6.268 Å, b = 3.648 Å, c = 12.127 Å
α = 90.00°, β = 100.08°, γ = 90.00°
Positions (direct):
La (0.000, 0.000, 0.000)
Pm (0.251, 0.000, 0.751)
Pm (0.252, 0.500, 0.252)
Pm (0.748, 0.500, 0.748)
Pm (0.749, 0.000, 0.249)
Pr (0.000, 0.500, 0.500)
Ho (0.500, 0.000, 0.500)
Ho (0.500, 0.500, 0.000)